(1)
Simulated powder XRD pattern
Compound: MgTcSn3
Radiation: Cu Kα (λ = 1.5418 Å)
Structure: the GGA-PBE geometry in Alexandria
Intensities are scaled so that the largest is 100.

Most intense lines, 10 to 90 degrees two-theta, sorted by position:
d 6.702, 2θ = 13.2°, I = 31; d 4.867, 2θ = 18.2°, I = 18; d 2.760, 2θ = 32.4°, I = 32; d 2.650, 2θ = 33.8°, I = 100; d 2.394, 2θ = 37.6°, I = 19; d 2.342, 2θ = 38.4°, I = 48; d 2.242, 2θ = 40.2°, I = 14; d 2.234, 2θ = 40.4°, I = 18; d 1.749, 2θ = 52.3°, I = 14; d 1.492, 2θ = 62.2°, I = 19

Atomic structure:
Lattice parameters (Å, degrees): 5.172 5.172 13.403 90.00 90.00 140.47
Sites, in units of the cell vectors:
Mg: 0.000 0.000 0.000
Mg: 0.000 0.000 0.500
Tc: 0.138 0.862 0.750
Tc: 0.862 0.138 0.250
Sn: 0.282 0.718 0.102
Sn: 0.282 0.718 0.398
Sn: 0.425 0.575 0.750
Sn: 0.575 0.425 0.250
Sn: 0.718 0.282 0.602
Sn: 0.718 0.282 0.898

(2)
Simulated powder XRD pattern
Compound: Mg2SnTe4
Radiation: Cu Kα (λ = 1.5418 Å)
Structure: the GGA-PBE geometry in Alexandria
Intensities are scaled so that the largest is 100.

Most intense lines, 10 to 90 degrees two-theta, sorted by position:
d 3.343, 2θ = 26.7°, I = 22; d 3.282, 2θ = 27.2°, I = 100; d 3.057, 2θ = 29.2°, I = 67; d 2.965, 2θ = 30.1°, I = 87; d 2.804, 2θ = 31.9°, I = 64; d 2.366, 2θ = 38.0°, I = 23; d 2.078, 2θ = 43.6°, I = 32; d 2.017, 2θ = 44.9°, I = 32; d 1.745, 2θ = 52.4°, I = 24; d 1.718, 2θ = 53.3°, I = 31

Atomic structure:
Lattice parameters (Å, degrees): 7.149 7.149 14.948 90.00 90.00 147.22
Sites, in units of the cell vectors:
Mg: 0.130 0.870 0.570
Mg: 0.130 0.870 0.930
Mg: 0.870 0.130 0.070
Mg: 0.870 0.130 0.430
Sn: 0.385 0.615 0.750
Sn: 0.615 0.385 0.250
Te: 0.050 0.950 0.750
Te: 0.215 0.785 0.112
Te: 0.215 0.785 0.388
Te: 0.500 0.500 0.000
Te: 0.500 0.500 0.500
Te: 0.785 0.215 0.612
Te: 0.785 0.215 0.888
Te: 0.950 0.050 0.250